# Nd5ErTl8
Theoretical X-ray diffraction stick pattern, CuKα. Input: the GGA-PBE geometry in Alexandria.
Intensities are scaled so that the largest is 100.

Top 12 peaks for 10 to 80 degrees two-theta, sorted by position:
2theta	I/Imax
22.94	13
29.69	100
30.13	45
35.30	40
35.44	44
35.66	48
46.87	27
47.29	9
48.78	10
49.06	9
59.92	20
63.31	10

Atomic structure:
```
data_Nd5ErTl8
_chemical_formula_sum 'Nd5 Er1 Tl8'
_cell_length_a 8.202
_cell_length_b 8.202
_cell_length_c 8.202
_cell_angle_alpha 109.01
_cell_angle_beta 109.01
_cell_angle_gamma 110.39
_symmetry_space_group_name_H-M 'P 1'
_symmetry_Int_Tables_number 1
loop_
_symmetry_equiv_pos_as_xyz
'x,y,z'
loop_
_atom_site_label
_atom_site_type_symbol
_atom_site_fract_x
_atom_site_fract_y
_atom_site_fract_z
Nd1 Nd 0.000 0.000 0.000
Nd2 Nd 0.254 0.130 0.638
Nd3 Nd 0.384 0.746 0.876
Nd4 Nd 0.491 0.616 0.362
Nd5 Nd 0.870 0.509 0.124
Er1 Er 0.750 0.250 0.500
Tl1 Tl 0.109 0.375 0.907
Tl2 Tl 0.112 0.370 0.410
Tl3 Tl 0.298 0.888 0.258
Tl4 Tl 0.468 0.202 0.093
Tl5 Tl 0.625 0.532 0.734
Tl6 Tl 0.630 0.040 0.742
Tl7 Tl 0.798 0.891 0.266
Tl8 Tl 0.960 0.702 0.590
```